No. 1
This entry pairs a crystal structure of Pm3Pr2Tm8 with its simulated X-ray diffraction stick pattern. Radiation: λ = 1.5418 Å (Cu Kα). Structure: a structure optimized by DFT (GGA-PBE).
No peak broadening, texture or thermal motion is included.

The 6 most intense peaks (10 to 80 degrees two-theta), most intense first:
(1 1 1), 2θ 31.29, I 100; (2 1 -2), 2θ 32.48, I 64; (0 3 -1), 2θ 31.89, I 63; (-2 2 1), 2θ 31.61, I 58; (1 -2 2), 2θ 30.54, I 45; (3 2 -1), 2θ 57.21, I 24

Atomic structure:
```
data_Pm3Pr2Tm8
_cell_length_a 6.5708
_cell_length_b 8.7305
_cell_length_c 9.0206
_cell_angle_alpha 108.10
_cell_angle_beta 111.09
_cell_angle_gamma 103.93
_symmetry_space_group_name_H-M 'P -1'
_symmetry_Int_Tables_number 2
loop_
_symmetry_equiv_pos_as_xyz
'x,y,z'
'-x,-y,-z'
loop_
_atom_site_label
_atom_site_type_symbol
_atom_site_fract_x
_atom_site_fract_y
_atom_site_fract_z
_atom_site_occupancy
Pm1 Pm 0.0000 0.0000 0.0000 1
Pm2 Pm 0.2895 0.9048 0.7263 1
Pr1 Pr 0.1226 0.2452 0.7691 1
Tm1 Tm 0.1199 0.4856 0.3557 1
Tm2 Tm 0.2668 0.6750 0.0809 1
Tm3 Tm 0.3467 0.1660 0.4680 1
Tm4 Tm 0.4876 0.5966 0.7751 1
```

***

No. 2
This entry pairs a crystal structure of Pm4OsS2Cl with its simulated X-ray diffraction stick pattern. Radiation: λ = 1.5418 Å (Cu Kα). Structure: a structure optimized by DFT (GGA-PBE).
No peak broadening, texture or thermal motion is included.

The 6 most intense peaks (10 to 80 degrees two-theta), most intense first:
(1 1 1), 2θ 30.75, I 100; (3 1 -1), 2θ 44.06, I 48; (0 0 1), 2θ 12.87, I 24; (2 0 0), 2θ 25.90, I 17; (2 2 -2), 2θ 56.03, I 15; (2 0 2), 2θ 42.37, I 13

Atomic structure:
```
data_Pm4OsS2Cl
_cell_length_a 7.1955
_cell_length_b 3.9812
_cell_length_c 7.2121
_cell_angle_alpha 90.00
_cell_angle_beta 107.37
_cell_angle_gamma 90.00
_symmetry_space_group_name_H-M 'P 1 2/m 1'
_symmetry_Int_Tables_number 10
loop_
_symmetry_equiv_pos_as_xyz
'x,y,z'
'-x,-y,-z'
'-x,y,-z'
'x,-y,z'
loop_
_atom_site_label
_atom_site_type_symbol
_atom_site_fract_x
_atom_site_fract_y
_atom_site_fract_z
_atom_site_occupancy
Pm1 Pm 0.2429 0.0000 0.2233 1
Pm2 Pm 0.2537 0.5000 0.7657 1
Os1 Os 0.5000 0.0000 0.0000 1
S1 S 0.0000 0.0000 0.5000 1
S2 S 0.0000 0.5000 0.0000 1
Cl1 Cl 0.5000 0.5000 0.5000 1
```

***

No. 3
This entry pairs a crystal structure of Pa6S12Cl with its simulated X-ray diffraction stick pattern. Radiation: λ = 1.5418 Å (Cu Kα). Structure: a structure optimized by DFT (GGA-PBE).
No peak broadening, texture or thermal motion is included.

The 6 most intense peaks (10 to 80 degrees two-theta), most intense first:
(2 1 1), 2θ 23.16, I 100; (2 0 2), 2θ 24.03, I 94; (3 2 1), 2θ 36.72, I 63; (0 3 3), 2θ 36.40, I 51; (1 2 2), 2θ 27.89, I 44; (3 2 4), 2θ 51.37, I 44

Atomic structure:
```
data_Pa6S12Cl
_cell_length_a 12.7050
_cell_length_b 12.7050
_cell_length_c 10.0123
_cell_angle_alpha 90.00
_cell_angle_beta 90.00
_cell_angle_gamma 120.00
_symmetry_space_group_name_H-M 'R -3 m'
_symmetry_Int_Tables_number 166
_symmetry_space_group_name_Hall '-R 3 2"'
loop_
_atom_site_label
_atom_site_type_symbol
_atom_site_fract_x
_atom_site_fract_y
_atom_site_fract_z
_atom_site_occupancy
Pa1 Pa 0.0582 0.5291 0.2797 1
S1 S 0.0000 0.3706 0.5000 1
S2 S 0.0882 0.1763 0.3628 1
Cl1 Cl 0.0000 0.0000 0.0000 1
```

***

No. 4
This entry pairs a crystal structure of Er3Sn2Pd7 with its simulated X-ray diffraction stick pattern. Radiation: λ = 1.5418 Å (Cu Kα). Structure: a structure optimized by DFT (GGA-PBE).
No peak broadening, texture or thermal motion is included.

The 6 most intense peaks (10 to 80 degrees two-theta), most intense first:
(1 1 6), 2θ 36.44, I 100; (2 0 0), 2θ 44.96, I 82; (1 0 11), 2θ 40.44, I 65; (1 1 0), 2θ 31.37, I 39; (1 1 8), 2θ 39.99, I 39; (2 1 11), 2θ 62.05, I 38

Atomic structure:
```
data_Er3Sn2Pd7
_cell_length_a 4.0323
_cell_length_b 4.0323
_cell_length_c 29.4555
_cell_angle_alpha 90.00
_cell_angle_beta 90.00
_cell_angle_gamma 90.00
_symmetry_space_group_name_H-M 'I 4/m m m'
_symmetry_Int_Tables_number 139
_symmetry_space_group_name_Hall '-I 4 2'
loop_
_atom_site_label
_atom_site_type_symbol
_atom_site_fract_x
_atom_site_fract_y
_atom_site_fract_z
_atom_site_occupancy
Er1 Er 0.0000 0.0000 0.0000 1
Er2 Er 0.0000 0.0000 0.1833 1
Sn1 Sn 0.0000 0.0000 0.3700 1
Pd1 Pd 0.0000 0.0000 0.2776 1
Pd2 Pd 0.0000 0.0000 0.5000 1
Pd3 Pd 0.0000 0.5000 0.0716 1
```

***

No. 5
This entry pairs a crystal structure of Hf5Ga2P with its simulated X-ray diffraction stick pattern. Radiation: λ = 1.5418 Å (Cu Kα). Structure: a structure optimized by DFT (GGA-PBE).
No peak broadening, texture or thermal motion is included.

The 6 most intense peaks (10 to 80 degrees two-theta), most intense first:
(2 2 0), 2θ 36.81, I 100; (2 2 -2), 2θ 37.38, I 96; (0 0 2), 2θ 39.97, I 40; (4 0 -2), 2θ 41.70, I 35; (0 4 0), 2θ 47.35, I 25; (0 4 2), 2θ 63.64, I 23

Atomic structure:
```
data_Hf5Ga2P
_cell_length_a 8.6657
_cell_length_b 7.6798
_cell_length_c 6.1787
_cell_angle_alpha 90.00
_cell_angle_beta 133.11
_cell_angle_gamma 90.00
_symmetry_space_group_name_H-M 'C 1 2/m 1'
_symmetry_Int_Tables_number 12
loop_
_symmetry_equiv_pos_as_xyz
'x,y,z'
'-x,-y,-z'
'-x,y,-z'
'x,-y,z'
'x+1/2,y+1/2,z'
'-x+1/2,-y+1/2,-z'
'-x+1/2,y+1/2,-z'
'x+1/2,-y+1/2,z'
loop_
_atom_site_label
_atom_site_type_symbol
_atom_site_fract_x
_atom_site_fract_y
_atom_site_fract_z
_atom_site_occupancy
Hf1 Hf 0.0000 0.0000 0.0000 1
Hf2 Hf 0.2500 0.2500 0.0000 1
Hf3 Hf 0.2500 0.2500 0.5000 1
Ga1 Ga 0.0000 0.5000 0.0000 1
Ga2 Ga 0.0000 0.5000 0.5000 1
P1 P 0.0000 0.0000 0.5000 1
```

***

No. 6
This entry pairs a crystal structure of Ti4Pd2O with its simulated X-ray diffraction stick pattern. Radiation: λ = 1.5418 Å (Cu Kα). Structure: a structure optimized by DFT (GGA-PBE).
No peak broadening, texture or thermal motion is included.

The 6 most intense peaks (10 to 80 degrees two-theta), most intense first:
(1 1 4), 2θ 41.97, I 100; (2 0 0), 2θ 44.69, I 78; (1 1 0), 2θ 31.19, I 67; (1 1 2), 2θ 34.16, I 56; (1 0 1), 2θ 22.96, I 34; (1 0 3), 2θ 30.15, I 32

Atomic structure:
```
data_Ti4Pd2O
_cell_length_a 4.0559
_cell_length_b 4.0559
_cell_length_c 13.0322
_cell_angle_alpha 90.00
_cell_angle_beta 90.00
_cell_angle_gamma 90.00
_symmetry_space_group_name_H-M 'I 4/m m m'
_symmetry_Int_Tables_number 139
_symmetry_space_group_name_Hall '-I 4 2'
loop_
_atom_site_label
_atom_site_type_symbol
_atom_site_fract_x
_atom_site_fract_y
_atom_site_fract_z
_atom_site_occupancy
Ti1 Ti 0.0000 0.0000 0.1777 1
Ti2 Ti 0.0000 0.5000 0.0000 1
Pd1 Pd 0.0000 0.0000 0.3621 1
O1 O 0.0000 0.0000 0.0000 1
```

***

No. 7
This entry pairs a crystal structure of Pr2Cu2Pt15 with its simulated X-ray diffraction stick pattern. Radiation: λ = 1.5418 Å (Cu Kα). Structure: a structure optimized by DFT (GGA-PBE).
No peak broadening, texture or thermal motion is included.

The 6 most intense peaks (10 to 80 degrees two-theta), most intense first:
(3 0 3), 2θ 39.15, I 100; (2 2 3), 2θ 43.91, I 80; (1 1 0), 2θ 19.11, I 42; (0 0 6), 2θ 40.23, I 38; (2 2 0), 2θ 38.78, I 37; (6 0 0), 2θ 70.21, I 23

Atomic structure:
```
data_Pr2Cu2Pt15
_cell_length_a 9.2878
_cell_length_b 9.2878
_cell_length_c 13.4484
_cell_angle_alpha 90.00
_cell_angle_beta 90.00
_cell_angle_gamma 120.00
_symmetry_space_group_name_H-M 'R -3 m'
_symmetry_Int_Tables_number 166
_symmetry_space_group_name_Hall '-R 3 2"'
loop_
_atom_site_label
_atom_site_type_symbol
_atom_site_fract_x
_atom_site_fract_y
_atom_site_fract_z
_atom_site_occupancy
Pr1 Pr 0.0000 0.0000 0.1608 1
Cu1 Cu 0.0000 0.0000 0.4060 1
Pt1 Pt 0.0000 0.3087 0.5000 1
Pt2 Pt 0.0000 0.5000 0.0000 1
Pt3 Pt 0.0001 0.5001 0.3431 1
```

***

No. 8
This entry pairs a crystal structure of YBBr with its simulated X-ray diffraction stick pattern. Radiation: λ = 1.5418 Å (Cu Kα). Structure: a structure optimized by DFT (GGA-PBE).
No peak broadening, texture or thermal motion is included.

The 6 most intense peaks (10 to 80 degrees two-theta), most intense first:
(1 1 1), 2θ 30.14, I 100; (0 0 2), 2θ 15.02, I 86; (1 1 3), 2θ 37.32, I 71; (0 2 0), 2θ 51.53, I 63; (2 0 -1), 2θ 29.92, I 56; (1 1 -4), 2θ 42.27, I 45

Atomic structure:
```
data_YBBr
_cell_length_a 6.1439
_cell_length_b 3.5472
_cell_length_c 11.8012
_cell_angle_alpha 90.00
_cell_angle_beta 91.14
_cell_angle_gamma 90.00
_symmetry_space_group_name_H-M 'C 1 2/m 1'
_symmetry_Int_Tables_number 12
loop_
_symmetry_equiv_pos_as_xyz
'x,y,z'
'-x,-y,-z'
'-x,y,-z'
'x,-y,z'
'x+1/2,y+1/2,z'
'-x+1/2,-y+1/2,-z'
'-x+1/2,y+1/2,-z'
'x+1/2,-y+1/2,z'
loop_
_atom_site_label
_atom_site_type_symbol
_atom_site_fract_x
_atom_site_fract_y
_atom_site_fract_z
_atom_site_occupancy
Y1 Y 0.0058 0.0000 0.1530 1
B1 B 0.1664 0.5000 0.9936 1
Br1 Br 0.1790 0.5000 0.3225 1
```

***

No. 9
This entry pairs a crystal structure of Rb2Bi3F11 with its simulated X-ray diffraction stick pattern. Radiation: λ = 1.5418 Å (Cu Kα). Structure: a structure optimized by DFT (GGA-PBE).
No peak broadening, texture or thermal motion is included.

The 6 most intense peaks (10 to 80 degrees two-theta), most intense first:
(1 0 1), 2θ 23.31, I 100; (0 1 2), 2θ 24.77, I 69; (1 1 3), 2θ 28.02, I 65; (0 0 5), 2θ 25.48, I 61; (1 1 -2), 2θ 27.15, I 50; (2 1 0), 2θ 42.11, I 35

Atomic structure:
```
data_Rb2Bi3F11
_cell_length_a 4.3078
_cell_length_b 4.3132
_cell_length_c 17.5168
_cell_angle_alpha 86.57
_cell_angle_beta 86.84
_cell_angle_gamma 64.22
_symmetry_space_group_name_H-M 'P 1'
_symmetry_Int_Tables_number 1
loop_
_symmetry_equiv_pos_as_xyz
'x,y,z'
loop_
_atom_site_label
_atom_site_type_symbol
_atom_site_fract_x
_atom_site_fract_y
_atom_site_fract_z
_atom_site_occupancy
Rb1 Rb 0.0000 0.0000 0.0000 1
Rb2 Rb 0.3096 0.3140 0.1735 1
Bi1 Bi 0.3251 0.4347 0.7962 1
Bi2 Bi 0.5742 0.7366 0.5866 1
Bi3 Bi 0.8764 0.9871 0.3772 1
F1 F 0.0940 0.9601 0.8355 1
F2 F 0.1004 0.8059 0.5350 1
F3 F 0.2046 0.8233 0.6861 1
F4 F 0.3504 0.2186 0.3374 1
F5 F 0.3594 0.3565 0.9201 1
F6 F 0.4846 0.1057 0.4867 1
F7 F 0.5035 0.2091 0.6378 1
F8 F 0.6552 0.6566 0.0867 1
F9 F 0.6883 0.5552 0.3923 1
F10 F 0.7559 0.6237 0.7813 1
F11 F 0.9539 0.9535 0.2535 1
```

***

No. 10
This entry pairs a crystal structure of SrTl2Cu2Cl7 with its simulated X-ray diffraction stick pattern. Radiation: λ = 1.5418 Å (Cu Kα). Structure: a structure optimized by DFT (GGA-PBE).
No peak broadening, texture or thermal motion is included.

The 6 most intense peaks (10 to 80 degrees two-theta), most intense first:
(1 1 2), 2θ 25.30, I 100; (0 2 0), 2θ 25.71, I 79; (2 2 -1), 2θ 36.67, I 69; (2 0 -4), 2θ 33.47, I 61; (3 1 1), 2θ 45.08, I 45; (1 1 -2), 2θ 20.97, I 37

Atomic structure:
```
data_SrTl2Cu2Cl7
_cell_length_a 6.9312
_cell_length_b 6.9310
_cell_length_c 13.1111
_cell_angle_alpha 90.00
_cell_angle_beta 105.29
_cell_angle_gamma 90.00
_symmetry_space_group_name_H-M 'C 1 2/m 1'
_symmetry_Int_Tables_number 12
loop_
_symmetry_equiv_pos_as_xyz
'x,y,z'
'-x,-y,-z'
'-x,y,-z'
'x,-y,z'
'x+1/2,y+1/2,z'
'-x+1/2,-y+1/2,-z'
'-x+1/2,y+1/2,-z'
'x+1/2,-y+1/2,z'
loop_
_atom_site_label
_atom_site_type_symbol
_atom_site_fract_x
_atom_site_fract_y
_atom_site_fract_z
_atom_site_occupancy
Sr1 Sr 0.0000 0.0000 0.0000 1
Tl1 Tl 0.1855 0.0000 0.3659 1
Cu1 Cu 0.0977 0.5000 0.1938 1
Cl1 Cl 0.0000 0.5000 0.0000 1
Cl2 Cl 0.1644 0.2501 0.8287 1
Cl3 Cl 0.1907 0.5000 0.3839 1
```

***

No. 11
This entry pairs a crystal structure of NdFeRe with its simulated X-ray diffraction stick pattern. Radiation: λ = 1.5418 Å (Cu Kα). Structure: a structure optimized by DFT (GGA-PBE).
No peak broadening, texture or thermal motion is included.

The 6 most intense peaks (10 to 80 degrees two-theta), most intense first:
(1 1 2), 2θ 35.93, I 100; (2 1 1), 2θ 33.09, I 95; (1 1 0), 2θ 18.36, I 67; (3 0 1), 2θ 42.61, I 47; (2 2 2), 2θ 48.93, I 36; (4 1 1), 2θ 57.84, I 31

Atomic structure:
```
data_NdFeRe
_cell_length_a 6.8320
_cell_length_b 6.8320
_cell_length_c 5.8416
_cell_angle_alpha 90.00
_cell_angle_beta 90.00
_cell_angle_gamma 90.00
_symmetry_space_group_name_H-M 'P 41 21 2'
_symmetry_Int_Tables_number 92
loop_
_symmetry_equiv_pos_as_xyz
'x,y,z'
'-y+1/2,x+1/2,z+1/4'
'-x,-y,z+1/2'
'y+1/2,-x+1/2,z+3/4'
'x+1/2,-y+1/2,-z+3/4'
'-y,-x,-z+1/2'
'-x+1/2,y+1/2,-z+1/4'
'y,x,-z'
loop_
_atom_site_label
_atom_site_type_symbol
_atom_site_fract_x
_atom_site_fract_y
_atom_site_fract_z
_atom_site_occupancy
Nd1 Nd 0.2347 0.2347 0.0000 1
Fe1 Fe 0.1460 0.8540 0.7500 1
Re1 Re 0.1127 0.1127 0.5000 1
```

***

No. 12
This entry pairs a crystal structure of TbY3S6 with its simulated X-ray diffraction stick pattern. Radiation: λ = 1.5418 Å (Cu Kα). Structure: a structure optimized by DFT (GGA-PBE).
No peak broadening, texture or thermal motion is included.

The 6 most intense peaks (10 to 80 degrees two-theta), most intense first:
(1 0 4), 2θ 24.25, I 100; (1 1 6), 2θ 39.04, I 100; (1 1 0), 2θ 25.71, I 88; (3 0 0), 2θ 45.34, I 60; (0 1 2), 2θ 17.60, I 57; (0 2 4), 2θ 35.64, I 52

Atomic structure:
```
data_TbY3S6
_cell_length_a 6.9293
_cell_length_b 6.9293
_cell_length_c 18.5522
_cell_angle_alpha 90.00
_cell_angle_beta 90.00
_cell_angle_gamma 120.00
_symmetry_space_group_name_H-M 'R 3'
_symmetry_Int_Tables_number 146
_symmetry_space_group_name_Hall 'R 3'
loop_
_atom_site_label
_atom_site_type_symbol
_atom_site_fract_x
_atom_site_fract_y
_atom_site_fract_z
_atom_site_occupancy
Tb1 Tb 0.0000 0.0000 0.0000 1
Y1 Y 0.0000 0.0000 0.2013 1
Y2 Y 0.0000 0.0000 0.5005 1
Y3 Y 0.0000 0.0000 0.7016 1
S1 S 0.9997 0.6990 0.1011 1
S2 S 0.0340 0.3657 0.2677 1
```

***

No. 13
This entry pairs a crystal structure of Ce2HfReN5 with its simulated X-ray diffraction stick pattern. Radiation: λ = 1.5418 Å (Cu Kα). Structure: a structure optimized by DFT (GGA-PBE).
No peak broadening, texture or thermal motion is included.

The 6 most intense peaks (10 to 80 degrees two-theta), most intense first:
(1 0 2), 2θ 31.63, I 100; (1 1 0), 2θ 33.27, I 57; (2 1 2), 2θ 58.43, I 38; (2 0 0), 2θ 47.76, I 24; (1 1 4), 2θ 55.27, I 20; (2 0 4), 2θ 66.06, I 13

Atomic structure:
```
data_Ce2HfReN5
_cell_length_a 3.8083
_cell_length_b 3.8083
_cell_length_c 8.4493
_cell_angle_alpha 90.00
_cell_angle_beta 90.00
_cell_angle_gamma 90.00
_symmetry_space_group_name_H-M 'P 4/m m m'
_symmetry_Int_Tables_number 123
_symmetry_space_group_name_Hall '-P 4 2'
loop_
_atom_site_label
_atom_site_type_symbol
_atom_site_fract_x
_atom_site_fract_y
_atom_site_fract_z
_atom_site_occupancy
Ce1 Ce 0.0000 0.0000 0.2165 1
Hf1 Hf 0.5000 0.5000 0.5000 1
Re1 Re 0.5000 0.5000 0.0000 1
N1 N 0.0000 0.0000 0.5000 1
N2 N 0.0000 0.5000 0.0000 1
N3 N 0.5000 0.5000 0.2571 1
```